Entry 1:
For In2Ge2Au, a crystal structure in Alexandria, relaxed with PBE gives the theoretical XRD peak list in this record (Cu Ka).
Kinematic intensities with the Lorentz-polarization factor, no thermal factor.

Peak list (8 most intense, 10° ≤ 2θ ≤ 80°, low angle first)
| 2θ/deg | I (rel.) |
| --- | --- |
| 25.39 | 44.9 |
| 31.81 | 80.3 |
| 34.06 | 56.5 |
| 34.62 | 100.0 |
| 38.25 | 19.7 |
| 42.98 | 51.6 |
| 55.94 | 52.5 |
| 61.33 | 21.4 |

Atomic structure:
Cell lengths 6.6548, 6.6548, 5.2649 Å; angles 90.00, 90.00, 90.00 degrees
Element x y z (fractional)
In (0.1760, 0.3240, 0.0000)
In (0.3240, 0.8240, 0.0000)
In (0.6760, 0.1760, 0.0000)
In (0.8240, 0.6760, 0.0000)
Ge (0.1358, 0.6358, 0.5000)
Ge (0.3642, 0.1358, 0.5000)
Ge (0.6358, 0.8642, 0.5000)
Ge (0.8642, 0.3642, 0.5000)
Au (0.0000, 0.0000, 0.5000)
Au (0.5000, 0.5000, 0.5000)

---

Entry 2:
For InGeAu, a crystal structure in Alexandria, relaxed with PBE gives the theoretical XRD peak list in this record (Cu Ka).
Kinematic intensities with the Lorentz-polarization factor, no thermal factor.

Peak list (8 most intense, 10° ≤ 2θ ≤ 80°, low angle first)
| 2θ/deg | I (rel.) |
| --- | --- |
| 21.40 | 53.6 |
| 32.70 | 70.8 |
| 32.88 | 100.0 |
| 33.96 | 50.0 |
| 34.47 | 49.1 |
| 39.13 | 41.7 |
| 39.56 | 39.6 |
| 44.45 | 53.7 |

Atomic structure:
Cell lengths 4.0770, 5.7983, 6.3315 Å; angles 80.76, 71.24, 70.30 degrees
Element x y z (fractional)
In (0.0000, 0.0000, 0.0000)
In (0.1356, 0.3499, 0.3751)
Ge (0.7533, 0.5747, 0.9190)
Ge (0.7623, 0.8919, 0.5769)
Au (0.4469, 0.7821, 0.3143)
Au (0.4564, 0.3229, 0.7561)

---

Entry 3:
For In2GeAu3, a crystal structure in Alexandria, relaxed with PBE gives the theoretical XRD peak list in this record (Cu Ka).
Kinematic intensities with the Lorentz-polarization factor, no thermal factor.

Peak list (8 most intense, 10° ≤ 2θ ≤ 80°, low angle first)
| 2θ/deg | I (rel.) |
| --- | --- |
| 31.39 | 77.1 |
| 32.11 | 82.2 |
| 33.72 | 90.3 |
| 34.07 | 56.5 |
| 36.07 | 100.0 |
| 37.19 | 71.3 |
| 39.45 | 78.1 |
| 42.22 | 93.3 |

Atomic structure:
Cell lengths 8.4669, 8.4669, 5.5746 Å; angles 90.00, 90.00, 39.33 degrees
Element x y z (fractional)
In (0.0121, 0.6291, 0.5000)
In (0.3709, 0.9879, 0.5000)
In (0.6291, 0.0121, 0.0000)
In (0.9879, 0.3709, 0.0000)
Ge (0.1413, 0.8587, 0.1874)
Ge (0.8587, 0.1413, 0.6874)
Au (0.1726, 0.5487, 0.9997)
Au (0.3302, 0.6698, 0.6350)
Au (0.4513, 0.8274, 0.9997)
Au (0.5487, 0.1726, 0.4997)
Au (0.6698, 0.3302, 0.1350)
Au (0.8274, 0.4513, 0.4997)

---

Entry 4:
For InGe2Pb2Au7, a crystal structure in Alexandria, relaxed with PBE gives the theoretical XRD peak list in this record (Cu Ka).
Kinematic intensities with the Lorentz-polarization factor, no thermal factor.

Peak list (8 most intense, 10° ≤ 2θ ≤ 80°, low angle first)
| 2θ/deg | I (rel.) |
| --- | --- |
| 29.97 | 40.6 |
| 30.73 | 100.0 |
| 34.46 | 75.7 |
| 35.65 | 47.8 |
| 37.91 | 53.5 |
| 40.42 | 60.1 |
| 40.54 | 46.4 |
| 42.39 | 55.7 |

Atomic structure:
Cell lengths 4.5948, 4.5948, 12.8921 Å; angles 95.10, 95.10, 76.83 degrees
Element x y z (fractional)
In (0.0000, 0.0000, 0.0000)
Ge (0.4536, 0.4536, 0.7425)
Ge (0.5464, 0.5464, 0.2576)
Pb (0.0304, 0.0304, 0.3621)
Pb (0.9696, 0.9696, 0.6379)
Au (0.0251, 0.5244, 0.1532)
Au (0.3271, 0.3271, 0.5401)
Au (0.4756, 0.9749, 0.8468)
Au (0.5000, 0.5000, 0.0000)
Au (0.5244, 0.0251, 0.1532)
Au (0.6729, 0.6729, 0.4599)
Au (0.9749, 0.4756, 0.8468)

---

Entry 5:
For K3Ge2Au3, a crystal structure in Alexandria, relaxed with PBE gives the theoretical XRD peak list in this record (Cu Ka).
Kinematic intensities with the Lorentz-polarization factor, no thermal factor.

Peak list (8 most intense, 10° ≤ 2θ ≤ 80°, low angle first)
| 2θ/deg | I (rel.) |
| --- | --- |
| 15.14 | 100.0 |
| 22.84 | 18.8 |
| 23.34 | 20.4 |
| 31.17 | 26.3 |
| 32.44 | 24.5 |
| 33.31 | 24.9 |
| 34.09 | 26.7 |
| 47.24 | 21.3 |

Atomic structure:
Cell lengths 6.4963, 6.4963, 18.6010 Å; angles 90.00, 90.00, 143.17 degrees
Element x y z (fractional)
K (0.0628, 0.9372, 0.7500)
K (0.1305, 0.8695, 0.5497)
K (0.1305, 0.8695, 0.9503)
K (0.8695, 0.1305, 0.0497)
K (0.8695, 0.1305, 0.4503)
K (0.9372, 0.0628, 0.2500)
Ge (0.1920, 0.8080, 0.1559)
Ge (0.1920, 0.8080, 0.3441)
Ge (0.8080, 0.1920, 0.6559)
Ge (0.8080, 0.1920, 0.8441)
Au (0.3320, 0.6680, 0.7500)
Au (0.4130, 0.5870, 0.6031)
Au (0.4130, 0.5870, 0.8969)
Au (0.5870, 0.4130, 0.1031)
Au (0.5870, 0.4130, 0.3969)
Au (0.6680, 0.3320, 0.2500)

---

Entry 6:
For KGe4Au4, a crystal structure in Alexandria, relaxed with PBE gives the theoretical XRD peak list in this record (Cu Ka).
Kinematic intensities with the Lorentz-polarization factor, no thermal factor.

Peak list (8 most intense, 10° ≤ 2θ ≤ 80°, low angle first)
| 2θ/deg | I (rel.) |
| --- | --- |
| 16.54 | 65.9 |
| 28.32 | 83.6 |
| 31.33 | 96.2 |
| 33.24 | 62.9 |
| 37.71 | 100.0 |
| 42.95 | 86.8 |
| 43.13 | 55.0 |
| 51.13 | 66.5 |

Atomic structure:
Cell lengths 6.7473, 6.7473, 8.8214 Å; angles 90.00, 90.00, 90.00 degrees
Element x y z (fractional)
K (0.2500, 0.7500, 0.2500)
K (0.7500, 0.2500, 0.7500)
Ge (0.0061, 0.2500, 0.1185)
Ge (0.2500, 0.0061, 0.6185)
Ge (0.2500, 0.4939, 0.6185)
Ge (0.4939, 0.2500, 0.1185)
Ge (0.5061, 0.7500, 0.8815)
Ge (0.7500, 0.5061, 0.3815)
Ge (0.7500, 0.9939, 0.3815)
Ge (0.9939, 0.7500, 0.8815)
Au (0.0413, 0.2500, 0.4192)
Au (0.2500, 0.0413, 0.9192)
Au (0.2500, 0.4587, 0.9192)
Au (0.4587, 0.2500, 0.4192)
Au (0.5413, 0.7500, 0.5808)
Au (0.7500, 0.5413, 0.0808)
Au (0.7500, 0.9587, 0.0808)
Au (0.9587, 0.7500, 0.5808)

---

Entry 7:
For K3GeAu4, a crystal structure in Alexandria, relaxed with PBE gives the theoretical XRD peak list in this record (Cu Ka).
Kinematic intensities with the Lorentz-polarization factor, no thermal factor.

Peak list (8 most intense, 10° ≤ 2θ ≤ 80°, low angle first)
| 2θ/deg | I (rel.) |
| --- | --- |
| 14.60 | 100.0 |
| 16.88 | 90.1 |
| 29.44 | 67.2 |
| 31.11 | 36.1 |
| 34.14 | 36.0 |
| 34.90 | 45.9 |
| 39.92 | 40.7 |
| 40.60 | 35.0 |

Atomic structure:
Cell lengths 6.8996, 6.8996, 6.8996 Å; angles 123.53, 105.60, 100.29 degrees
Element x y z (fractional)
K (0.0000, 0.0000, 0.0000)
K (0.0761, 0.3385, 0.7377)
K (0.6008, 0.3385, 0.2623)
Ge (0.3988, 0.8988, 0.5000)
Au (0.4646, 0.7254, 0.7392)
Au (0.5885, 0.3751, 0.7866)
Au (0.5885, 0.8019, 0.2134)
Au (0.9862, 0.7254, 0.2608)

---

Entry 8:
For KGe2Au5, a crystal structure in Alexandria, relaxed with PBE gives the theoretical XRD peak list in this record (Cu Ka).
Kinematic intensities with the Lorentz-polarization factor, no thermal factor.

Peak list (8 most intense, 10° ≤ 2θ ≤ 80°, low angle first)
| 2θ/deg | I (rel.) |
| --- | --- |
| 14.81 | 76.2 |
| 32.26 | 100.0 |
| 32.61 | 83.4 |
| 39.54 | 45.7 |
| 41.61 | 34.7 |
| 42.17 | 55.1 |
| 42.46 | 57.6 |
| 59.41 | 33.7 |

Atomic structure:
Cell lengths 6.7808, 6.7808, 6.7808 Å; angles 140.71, 115.04, 78.62 degrees
Element x y z (fractional)
K (0.0000, 0.0000, 0.0000)
Ge (0.2562, 0.7562, 0.5000)
Ge (0.7438, 0.2438, 0.5000)
Au (0.1627, 0.3562, 0.8066)
Au (0.4504, 0.6438, 0.8066)
Au (0.5000, 0.0000, 0.5000)
Au (0.5496, 0.3562, 0.1934)
Au (0.8373, 0.6438, 0.1934)

---

Entry 9:
For K2Ge7Au12, a crystal structure in Alexandria, relaxed with PBE gives the theoretical XRD peak list in this record (Cu Ka).
Kinematic intensities with the Lorentz-polarization factor, no thermal factor.

Peak list (8 most intense, 10° ≤ 2θ ≤ 80°, low angle first)
| 2θ/deg | I (rel.) |
| --- | --- |
| 17.30 | 25.9 |
| 32.46 | 100.0 |
| 37.12 | 20.0 |
| 41.14 | 47.0 |
| 44.49 | 26.2 |
| 46.23 | 12.6 |
| 46.90 | 12.6 |
| 77.88 | 19.3 |

Atomic structure:
Cell lengths 10.2506, 10.2506, 4.8442 Å; angles 90.00, 90.00, 120.00 degrees
Element x y z (fractional)
K (0.3333, 0.6667, 0.2698)
K (0.6667, 0.3333, 0.7302)
Ge (0.0000, 0.0000, 0.0000)
Ge (0.1067, 0.7206, 0.8194)
Ge (0.2794, 0.3861, 0.8194)
Ge (0.3861, 0.1067, 0.1806)
Ge (0.6139, 0.8933, 0.8194)
Ge (0.7206, 0.6139, 0.1806)
Ge (0.8933, 0.2794, 0.1806)
Au (0.0565, 0.4494, 0.7313)
Au (0.1245, 0.2569, 0.3183)
Au (0.1325, 0.8755, 0.3183)
Au (0.2569, 0.1325, 0.6817)
Au (0.3928, 0.9435, 0.7313)
Au (0.4494, 0.3928, 0.2687)
Au (0.5506, 0.6072, 0.7313)
Au (0.6072, 0.0565, 0.2687)
Au (0.7431, 0.8675, 0.3183)
Au (0.8675, 0.1245, 0.6817)
Au (0.8755, 0.7431, 0.6817)
Au (0.9435, 0.5506, 0.2687)

---

Entry 10:
For K4Ge2Au7, a crystal structure in Alexandria, relaxed with PBE gives the theoretical XRD peak list in this record (Cu Ka).
Kinematic intensities with the Lorentz-polarization factor, no thermal factor.

Peak list (8 most intense, 10° ≤ 2θ ≤ 80°, low angle first)
| 2θ/deg | I (rel.) |
| --- | --- |
| 15.77 | 25.1 |
| 16.68 | 100.0 |
| 18.80 | 51.4 |
| 31.84 | 42.4 |
| 33.05 | 38.1 |
| 33.72 | 86.4 |
| 40.49 | 30.8 |
| 55.50 | 23.0 |

Atomic structure:
Cell lengths 10.1832, 10.1832, 10.1832 Å; angles 37.95, 37.95, 37.95 degrees
Element x y z (fractional)
K (0.1822, 0.1822, 0.1822)
K (0.3102, 0.3102, 0.3102)
K (0.6898, 0.6898, 0.6898)
K (0.8178, 0.8178, 0.8178)
Ge (0.0455, 0.0455, 0.0455)
Ge (0.9545, 0.9545, 0.9545)
Au (0.2768, 0.2768, 0.7034)
Au (0.2768, 0.7034, 0.2768)
Au (0.2966, 0.7232, 0.7232)
Au (0.5000, 0.5000, 0.5000)
Au (0.7034, 0.2768, 0.2768)
Au (0.7232, 0.2966, 0.7232)
Au (0.7232, 0.7232, 0.2966)

---

Entry 11:
For LaGe3Au2, a crystal structure in Alexandria, relaxed with PBE gives the theoretical XRD peak list in this record (Cu Ka).
Kinematic intensities with the Lorentz-polarization factor, no thermal factor.

Peak list (8 most intense, 10° ≤ 2θ ≤ 80°, low angle first)
| 2θ/deg | I (rel.) |
| --- | --- |
| 20.23 | 29.3 |
| 31.13 | 24.0 |
| 31.56 | 100.0 |
| 36.74 | 15.4 |
| 40.64 | 56.5 |
| 44.88 | 34.4 |
| 58.83 | 19.0 |
| 68.31 | 22.1 |

Atomic structure:
Cell lengths 13.5588, 13.5588, 13.5588 Å; angles 161.16, 161.16, 26.77 degrees
Element x y z (fractional)
La (0.1501, 0.1501, 0.0000)
La (0.8499, 0.8499, 0.0000)
Ge (0.0477, 0.5477, 0.5000)
Ge (0.3046, 0.3046, 0.0000)
Ge (0.4523, 0.9523, 0.5000)
Ge (0.5477, 0.0477, 0.5000)
Ge (0.6954, 0.6954, 0.0000)
Ge (0.9523, 0.4523, 0.5000)
Au (0.2500, 0.7500, 0.5000)
Au (0.4003, 0.4003, 0.0000)
Au (0.5997, 0.5997, 0.0000)
Au (0.7500, 0.2500, 0.5000)

---

Entry 12:
For La3Ge3Au2, a crystal structure in Alexandria, relaxed with PBE gives the theoretical XRD peak list in this record (Cu Ka).
Kinematic intensities with the Lorentz-polarization factor, no thermal factor.

Peak list (8 most intense, 10° ≤ 2θ ≤ 80°, low angle first)
| 2θ/deg | I (rel.) |
| --- | --- |
| 16.78 | 26.5 |
| 30.98 | 42.0 |
| 31.15 | 100.0 |
| 31.51 | 26.8 |
| 31.91 | 41.5 |
| 34.24 | 26.6 |
| 38.71 | 86.4 |
| 39.71 | 49.0 |

Atomic structure:
Cell lengths 6.0513, 6.0513, 15.7115 Å; angles 90.00, 90.00, 135.94 degrees
Element x y z (fractional)
La (0.0969, 0.9031, 0.7500)
La (0.3695, 0.6305, 0.5974)
La (0.3695, 0.6305, 0.9026)
La (0.6305, 0.3695, 0.0974)
La (0.6305, 0.3695, 0.4026)
La (0.9031, 0.0969, 0.2500)
Ge (0.0889, 0.9111, 0.5485)
Ge (0.0889, 0.9111, 0.9515)
Ge (0.1807, 0.8193, 0.2500)
Ge (0.8193, 0.1807, 0.7500)
Ge (0.9111, 0.0889, 0.0485)
Ge (0.9111, 0.0889, 0.4515)
Au (0.3367, 0.6633, 0.1158)
Au (0.3367, 0.6633, 0.3842)
Au (0.6633, 0.3367, 0.6158)
Au (0.6633, 0.3367, 0.8842)